Structure and theoretical powder X-ray diffraction pattern of VW4O12 (a cell relaxed with PBE+U; Cu Kα (λ = 1.5418 Å)).

abc: 7.3767 7.7119 7.7123
angles: 90.00 90.00 90.00
Space group Immm (No. 71)
One atom of each set of equivalent atoms:
V 0.0000 0.0000 0.0000 x2
W 0.2500 0.2500 0.2500 x8
O 0.0000 0.3042 0.3037 x8
O 0.1788 0.0000 0.2367 x8
O 0.1787 0.2352 0.0000 x8

Peak list (12 most intense, 15 to 90 degrees two-theta, most intense first)
2θ 23.07, intensity 100, hkl 0 2 0
2θ 33.62, intensity 76, hkl 2 2 0
2θ 24.13, intensity 40, hkl 2 0 0
2θ 32.85, intensity 36, hkl 0 2 2
2θ 59.14, intensity 34, hkl 2 4 2
2θ 41.17, intensity 26, hkl 2 2 2
2θ 47.14, intensity 23, hkl 0 0 4
2θ 53.64, intensity 21, hkl 2 4 0
2θ 53.11, intensity 19, hkl 0 4 2
2θ 55.21, intensity 19, hkl 4 2 0
2θ 60.62, intensity 19, hkl 4 2 2
2θ 75.47, intensity 14, hkl 4 4 2